The following is a computed PXRD pattern of BaFe4P. It was derived from a GGA-PBE-relaxed structure, using Cu Kα, 1.54184 Å.

Cell and atoms:
abc: 5.214 5.214 5.214
angles: 60.00 60.00 60.00
Sites, in units of the cell vectors:
Ba1 0.000 0.000 0.000
Fe1 0.130 0.623 0.623
Fe2 0.623 0.130 0.623
Fe3 0.623 0.623 0.130
Fe4 0.623 0.623 0.623
P1 0.250 0.250 0.250

Largest 8 diffraction maxima, by intensity, 5 to 70 degrees two-theta:
2.223 Å, intensity 100; 2.607 Å, intensity 36; 2.129 Å, intensity 33; 1.419 Å, intensity 30; 3.687 Å, intensity 18; 4.257 Å, intensity 14; 1.505 Å, intensity 13; 1.649 Å, intensity 6